Diffraction record for Co2P5O16. The powder diffractogram is computed, not measured: it uses a GGA+U-relaxed structure and λ = 1.5418 Å (Cu Kα).

Principal peaks in the range 2θ = 15–90°, in order of rising 2θ:
- 2θ 16.5, I 36
- 2θ 19.2, I 74
- 2θ 23.1, I 100
- 2θ 23.2, I 31
- 2θ 24.4, I 21
- 2θ 24.8, I 21
- 2θ 28.9, I 33
- 2θ 33.0, I 32
- 2θ 33.1, I 22
- 2θ 33.5, I 24

Structure:
```
Co2P5O16
1.0
4.8879 0.0000 0.0000
0.0000 6.6128 0.0000
-0.4098 0.0000 18.5221
Co P O
4 10 32
Cartesian
1.0025 1.1591 7.5288 Co
0.7975 5.4537 16.7898 Co
3.6805 1.1591 1.7323 Co
3.4756 5.4537 10.9933 Co
-0.1025 1.6506 4.6305 P
-0.3074 4.9622 13.8916 P
0.9885 0.8378 10.6341 P
1.1934 5.7750 1.3731 P
1.2725 2.9748 2.4061 P
1.0676 3.6380 11.6672 P
3.4105 2.9748 6.8549 P
3.2056 3.6380 16.1160 P
3.2847 0.8378 17.1490 P
3.4896 5.7750 7.8879 P
-0.1239 0.3790 17.2770 O
0.0810 6.2337 8.0160 O
0.3244 2.2745 1.4628 O
0.1195 4.3382 10.7238 O
0.5886 0.8217 5.6804 O
0.3837 5.7910 14.9414 O
0.9315 2.6657 3.9484 O
0.7266 3.9470 13.2094 O
0.8535 2.0677 11.6920 O
1.0584 4.5450 2.4309 O
1.5029 1.4396 9.3314 O
1.7078 5.1732 0.0704 O
1.9227 2.7613 7.0634 O
1.7178 3.8515 16.3245 O
2.0939 0.1509 2.0914 O
1.8890 6.4618 11.3524 O
2.5891 0.1509 7.1697 O
2.3841 6.4618 16.4307 O
2.7603 2.7613 2.1976 O
2.5554 3.8515 11.4586 O
2.7703 1.4396 18.4517 O
2.9752 5.1732 9.1906 O
3.4197 2.0677 16.0911 O
3.6246 4.5450 6.8301 O
3.7515 2.6657 5.3127 O
3.5466 3.9470 14.5737 O
4.0944 0.8217 3.5807 O
3.8895 5.7910 12.8417 O
4.3586 2.2745 7.7982 O
4.1537 4.3382 17.0593 O
4.3971 0.3790 10.5061 O
4.6020 6.2337 1.2451 O
```